LaNdY: computed X-ray powder pattern (copper Kα), based on DFT lattice parameters and positions (GGA-PBE).
Peak positions follow from Bragg's law for the DFT cell and can differ from measured ones.

The 11 most intense peaks (5 to 70 degrees two-theta), by intensity:
h k l, 2theta, intensity
1 0 1, 29.84, 100
0 1 2, 34.59, 50
0 2 1, 59.08, 42
1 1 0, 49.73, 36
2 0 2, 61.99, 12
0 0 1, 9.84, 4
0 0 2, 19.75, 2
1 0 0, 28.11, 2
1 0 3, 41.44, 1
1 1 2, 54.04, 1
0 0 5, 50.82, 1

```
data_LaNdY
_chemical_formula_sum 'La1 Nd1 Y1'
_space_group_name_H-M_alt 'P 1'
_space_group_IT_number 1
_space_group_name_Hall 'P 1'
_cell_length_a 3.665
_cell_length_b 3.665
_cell_length_c 8.990
_cell_angle_alpha 90.00
_cell_angle_beta 90.00
_cell_angle_gamma 120.00
loop_
_atom_site_label
_atom_site_type_symbol
_atom_site_fract_x
_atom_site_fract_y
_atom_site_fract_z
La1 La 0.000 0.000 0.000
Nd1 Nd 0.667 0.333 0.343
Y1 Y 0.333 0.667 0.668
```